Entry 1:
# DyCuW2O8
Theoretical X-ray diffraction stick pattern, Cu Kα (λ = 1.5418 Å). Input: a PBE+U-relaxed structure.
Intensities are scaled so that the largest is 100.

Cell and atoms:
Lattice parameters (Å, degrees): 5.1358 6.0724 6.1261 108.85 91.62 113.99
Fractional coordinates of all 12 atoms:
Dy (0.0000, 0.0000, 0.0000)
Cu (0.5000, 0.0000, 0.5000)
W (0.2514, 0.4889, 0.6699)
W (0.7486, 0.5111, 0.3301)
O (0.0199, 0.2572, 0.7910)
O (0.0257, 0.6916, 0.6670)
O (0.4601, 0.2955, 0.5239)
O (0.4818, 0.2587, 0.0729)
O (0.5182, 0.7413, 0.9271)
O (0.5399, 0.7045, 0.4761)
O (0.9743, 0.3084, 0.3330)
O (0.9801, 0.7428, 0.2090)

Most intense lines, 2θ from 10° to 90°, by angle:
2θ (°)	I/Imax
18.49	55
26.64	100
27.03	97
29.75	47
30.08	72
30.76	71
34.76	37
34.96	48
47.93	28
61.37	29

***

Entry 2:
# Li2Fe3SnO8
Theoretical X-ray diffraction stick pattern, Cu Kα (λ = 1.5418 Å). Input: a PBE+U-relaxed structure.
Intensities are scaled so that the largest is 100.

Cell and atoms:
Lattice parameters (Å, degrees): 8.5314 8.5215 8.5378 90.00 90.26 90.00
Fractional coordinates of all 56 atoms:
Li (0.1209, 0.0000, 0.1255)
Li (0.2488, 0.1280, 0.5013)
Li (0.2489, 0.6253, 0.9994)
Li (0.3757, 0.7518, 0.6290)
Li (0.6243, 0.2518, 0.3710)
Li (0.7511, 0.1253, 0.0006)
Li (0.7512, 0.6280, 0.4987)
Li (0.8791, 0.5000, 0.8745)
Fe (0.1140, 0.2554, 0.8730)
Fe (0.1192, 0.4965, 0.6325)
Fe (0.1248, 0.7598, 0.3694)
Fe (0.3766, 0.9887, 0.8679)
Fe (0.3810, 0.2514, 0.1373)
Fe (0.3871, 0.4934, 0.3741)
Fe (0.6129, 0.9934, 0.6259)
Fe (0.6190, 0.7514, 0.8627)
Fe (0.6234, 0.4887, 0.1321)
Fe (0.8752, 0.2598, 0.6306)
Fe (0.8808, 0.9965, 0.3675)
Fe (0.8860, 0.7554, 0.1270)
Sn (0.0022, 0.3730, 0.2534)
Sn (0.4948, 0.3729, 0.7535)
Sn (0.5052, 0.8729, 0.2465)
Sn (0.9978, 0.8730, 0.7466)
O (0.0980, 0.9897, 0.3771)
O (0.1083, 0.7486, 0.1393)
O (0.1164, 0.2715, 0.6344)
O (0.1255, 0.7283, 0.6145)
O (0.1268, 0.4869, 0.8502)
O (0.1337, 0.5121, 0.3942)
O (0.1363, 0.0116, 0.8743)
O (0.1367, 0.2495, 0.1099)
O (0.3545, 0.5012, 0.6143)
O (0.3587, 0.2362, 0.8887)
O (0.3613, 0.7423, 0.3750)
O (0.3737, 0.0130, 0.1140)
O (0.3737, 0.2618, 0.3608)
O (0.3842, 0.4891, 0.1367)
O (0.3867, 0.0014, 0.6385)
O (0.3895, 0.7647, 0.8786)
O (0.6105, 0.2647, 0.1214)
O (0.6133, 0.5014, 0.3615)
O (0.6158, 0.9891, 0.8633)
O (0.6263, 0.5130, 0.8860)
O (0.6263, 0.7618, 0.6392)
O (0.6387, 0.2423, 0.6250)
O (0.6413, 0.7362, 0.1113)
O (0.6455, 0.0012, 0.3857)
O (0.8633, 0.7495, 0.8901)
O (0.8637, 0.5116, 0.1257)
O (0.8663, 0.0121, 0.6058)
O (0.8732, 0.9869, 0.1498)
O (0.8745, 0.2283, 0.3855)
O (0.8836, 0.7715, 0.3656)
O (0.8917, 0.2486, 0.8607)
O (0.9020, 0.4897, 0.6229)

Most intense lines, 2θ from 10° to 90°, by angle:
2θ (°)	I/Imax
18.01	37
20.83	62
23.32	18
29.61	43
34.86	100
34.93	50
42.39	17
55.94	22
56.06	40
61.51	40

***

Entry 3:
# Fe4As3O21
Theoretical X-ray diffraction stick pattern, Cu Kα (λ = 1.5418 Å). Input: a PBE+U-relaxed structure.
Intensities are scaled so that the largest is 100.

Cell and atoms:
Lattice parameters (Å, degrees): 8.3435 8.3435 7.8666 90.00 90.00 92.16
Fractional coordinates of all 28 atoms:
Fe (0.1354, 0.8646, 0.0000)
Fe (0.1902, 0.1902, 0.7055)
Fe (0.8098, 0.8098, 0.7055)
Fe (0.8646, 0.1354, 0.0000)
As (0.0000, 0.0000, 0.3653)
As (0.0000, 0.5000, 0.8552)
As (0.5000, 0.0000, 0.8552)
O (0.0914, 0.0914, 0.9001)
O (0.1063, 0.6362, 0.9765)
O (0.1162, 0.8838, 0.2400)
O (0.1217, 0.1217, 0.4887)
O (0.1353, 0.4065, 0.7261)
O (0.1938, 0.8062, 0.6424)
O (0.2841, 0.7159, 0.5682)
O (0.3638, 0.8937, 0.9765)
O (0.4050, 0.4050, 0.0540)
O (0.4065, 0.1353, 0.7261)
O (0.5000, 0.5000, 0.9699)
O (0.5935, 0.8647, 0.7261)
O (0.5950, 0.5950, 0.0540)
O (0.6362, 0.1063, 0.9765)
O (0.7159, 0.2841, 0.5682)
O (0.8062, 0.1938, 0.6424)
O (0.8647, 0.5935, 0.7261)
O (0.8783, 0.8783, 0.4887)
O (0.8838, 0.1162, 0.2400)
O (0.8937, 0.3638, 0.9765)
O (0.9086, 0.9086, 0.9001)

Most intense lines, 2θ from 10° to 90°, by angle:
2θ (°)	I/Imax
10.61	100
11.25	87
18.58	21
19.04	47
24.17	12
26.12	22
26.78	13
27.42	17
31.27	29
35.54	15

***

Entry 4:
# ScMn2O5
Theoretical X-ray diffraction stick pattern, Cu Kα (λ = 1.5418 Å). Input: a PBE+U-relaxed structure.
Intensities are scaled so that the largest is 100.

Cell and atoms:
Lattice parameters (Å, degrees): 7.1070 8.3083 5.7206 90.00 90.00 90.00
Fractional coordinates of all 32 atoms:
Sc (0.1405, 0.1665, 0.0000)
Sc (0.3595, 0.6665, 0.0000)
Sc (0.6405, 0.3335, 0.0000)
Sc (0.8595, 0.8335, 0.0000)
Mn (0.0000, 0.5000, 0.2505)
Mn (0.0000, 0.5000, 0.7495)
Mn (0.0862, 0.8452, 0.5000)
Mn (0.4138, 0.3452, 0.5000)
Mn (0.5000, 0.0000, 0.2505)
Mn (0.5000, 0.0000, 0.7495)
Mn (0.5862, 0.6548, 0.5000)
Mn (0.9138, 0.1548, 0.5000)
O (0.0000, 0.0000, 0.2605)
O (0.0000, 0.0000, 0.7395)
O (0.1214, 0.7050, 0.2334)
O (0.1214, 0.7050, 0.7666)
O (0.1478, 0.4220, 0.5000)
O (0.1667, 0.4333, 0.0000)
O (0.3333, 0.9333, 0.0000)
O (0.3522, 0.9220, 0.5000)
O (0.3786, 0.2050, 0.2334)
O (0.3786, 0.2050, 0.7666)
O (0.5000, 0.5000, 0.2605)
O (0.5000, 0.5000, 0.7395)
O (0.6214, 0.7950, 0.2334)
O (0.6214, 0.7950, 0.7666)
O (0.6478, 0.0780, 0.5000)
O (0.6667, 0.0667, 0.0000)
O (0.8333, 0.5667, 0.0000)
O (0.8522, 0.5780, 0.5000)
O (0.8786, 0.2950, 0.2334)
O (0.8786, 0.2950, 0.7666)

Most intense lines, 2θ from 10° to 90°, by angle:
2θ (°)	I/Imax
25.06	53
29.39	76
31.53	100
33.18	27
34.77	70
35.52	66
38.21	28
46.24	41
46.92	33
54.61	42

***

Entry 5:
# MnSiO3
Theoretical X-ray diffraction stick pattern, Cu Kα (λ = 1.5418 Å). Input: a PBE+U-relaxed structure.
Intensities are scaled so that the largest is 100.

Cell and atoms:
Lattice parameters (Å, degrees): 6.5638 8.6382 12.9675 105.98 99.23 99.01
Fractional coordinates of all 50 atoms:
Mn (0.0000, 0.0000, 0.0000)
Mn (0.0812, 0.1110, 0.2602)
Mn (0.2139, 0.7876, 0.1121)
Mn (0.2626, 0.4788, 0.6467)
Mn (0.3840, 0.1442, 0.5656)
Mn (0.5000, 0.0000, 0.0000)
Mn (0.6160, 0.8558, 0.4344)
Mn (0.7374, 0.5212, 0.3533)
Mn (0.7861, 0.2124, 0.8879)
Mn (0.9188, 0.8890, 0.7398)
Si (0.1293, 0.7684, 0.4995)
Si (0.1993, 0.1913, 0.8138)
Si (0.2471, 0.5321, 0.3920)
Si (0.2476, 0.4034, 0.0545)
Si (0.3923, 0.5943, 0.8993)
Si (0.6077, 0.4057, 0.1007)
Si (0.7524, 0.5966, 0.9455)
Si (0.7529, 0.4679, 0.6080)
Si (0.8007, 0.8087, 0.1862)
Si (0.8707, 0.2316, 0.5005)
O (0.0624, 0.2402, 0.0291)
O (0.0621, 0.8511, 0.2291)
O (0.0674, 0.6468, 0.3659)
O (0.0689, 0.1687, 0.4592)
O (0.1784, 0.5684, 0.1157)
O (0.1954, 0.3468, 0.3203)
O (0.2209, 0.6038, 0.5287)
O (0.2272, 0.0374, 0.8646)
O (0.2498, 0.0122, 0.1062)
O (0.2653, 0.3974, 0.9130)
O (0.2807, 0.6263, 0.7922)
O (0.3236, 0.2074, 0.7193)
O (0.3475, 0.9037, 0.5173)
O (0.3883, 0.7466, 0.0072)
O (0.4886, 0.6196, 0.3981)
O (0.5114, 0.3804, 0.6019)
O (0.6117, 0.2534, 0.9928)
O (0.6525, 0.0963, 0.4827)
O (0.6764, 0.7926, 0.2807)
O (0.7193, 0.3737, 0.2078)
O (0.7347, 0.6026, 0.0870)
O (0.7502, 0.9878, 0.8938)
O (0.7728, 0.9626, 0.1354)
O (0.7791, 0.3962, 0.4713)
O (0.8046, 0.6532, 0.6797)
O (0.8216, 0.4316, 0.8843)
O (0.9311, 0.8313, 0.5408)
O (0.9326, 0.3532, 0.6341)
O (0.9379, 0.1489, 0.7709)
O (0.9376, 0.7598, 0.9709)

Most intense lines, 2θ from 10° to 90°, by angle:
2θ (°)	I/Imax
14.55	56
14.87	55
18.46	29
21.28	100
22.31	36
25.62	25
27.96	75
29.69	32
31.59	26
37.49	24

***

Entry 6:
# Li6FeNi9O20
Theoretical X-ray diffraction stick pattern, Cu Kα (λ = 1.5418 Å). Input: a PBE+U-relaxed structure.
Intensities are scaled so that the largest is 100.

Cell and atoms:
Lattice parameters (Å, degrees): 6.4863 7.5566 7.6269 66.31 87.39 89.02
Fractional coordinates of all 36 atoms:
Li (0.0000, 0.0000, 0.0000)
Li (0.1955, 0.7788, 0.8025)
Li (0.3000, 0.2321, 0.6973)
Li (0.5000, 0.0000, 0.5000)
Li (0.7000, 0.7679, 0.3027)
Li (0.8045, 0.2212, 0.1975)
Fe (0.5000, 0.5000, 0.0000)
Ni (0.0000, 0.5000, 0.5000)
Ni (0.0992, 0.9022, 0.4006)
Ni (0.1943, 0.2984, 0.2997)
Ni (0.2993, 0.7026, 0.2024)
Ni (0.3971, 0.0998, 0.0981)
Ni (0.6029, 0.9002, 0.9019)
Ni (0.7007, 0.2974, 0.7976)
Ni (0.8057, 0.7016, 0.7003)
Ni (0.9008, 0.0978, 0.5994)
O (0.0271, 0.7586, 0.2634)
O (0.0790, 0.6734, 0.6214)
O (0.1108, 0.1341, 0.1791)
O (0.1730, 0.0410, 0.5452)
O (0.2339, 0.5558, 0.0563)
O (0.2655, 0.4441, 0.4361)
O (0.3160, 0.9611, 0.9575)
O (0.3736, 0.8681, 0.3286)
O (0.4270, 0.3316, 0.8696)
O (0.4749, 0.2458, 0.2341)
O (0.5251, 0.7542, 0.7659)
O (0.5730, 0.6684, 0.1304)
O (0.6264, 0.1319, 0.6714)
O (0.6840, 0.0389, 0.0425)
O (0.7345, 0.5559, 0.5639)
O (0.7661, 0.4442, 0.9437)
O (0.8270, 0.9590, 0.4548)
O (0.8892, 0.8659, 0.8209)
O (0.9210, 0.3266, 0.3786)
O (0.9729, 0.2414, 0.7366)

Most intense lines, 2θ from 10° to 90°, by angle:
2θ (°)	I/Imax
18.29	100
36.28	13
37.09	16
37.34	11
43.62	19
44.53	17
44.82	17
48.42	8
63.49	9
82.82	6